Theoretical XRD peak list of Zr2PdRh for a wavelength of 1.5418 Å, from a structure optimized by DFT (PBE).
Neutral-atom scattering factors, no anomalous dispersion.

Crystal structure
Cell lengths 3.261, 3.261, 6.930 Å; angles 90.00, 90.00, 90.00 degrees
Space group P4/mmm (No. 123)
Unique sites:
Zr1 0.000 0.000 0.242 x2
Pd1 0.500 0.500 0.500 x1
Rh1 0.500 0.500 0.000 x1

Principal peaks in the range 5° ≤ 2θ ≤ 70°, most intense first:
two_theta, d [Å], I_rel, hkl
37.9, 2.375, 100, 1 0 2
39.1, 2.306, 46, 1 1 0
70.0, 1.344, 31, 2 1 2
67.6, 1.385, 17, 1 1 4
56.4, 1.631, 16, 2 0 0
52.8, 1.733, 9, 0 0 4
27.3, 3.261, 1, 1 0 0

---

Theoretical XRD peak list of Zr3Pd2Rh2 for a wavelength of 1.5418 Å, from a structure optimized by DFT (PBE).
Neutral-atom scattering factors, no anomalous dispersion.

Crystal structure
Cell lengths 8.861, 4.162, 7.005 Å; angles 90.00, 104.73, 90.00 degrees
Space group C2/m (No. 12)
Unique sites:
Zr1 0.000 0.000 0.000 x2
Zr2 0.105 0.500 0.710 x4
Pd1 0.134 0.000 0.430 x4
Rh1 0.195 0.500 0.125 x4

Principal peaks in the range 5° ≤ 2θ ≤ 70°, most intense first:
two_theta, d [Å], I_rel, hkl
37.7, 2.384, 100, 1 1 2
40.1, 2.247, 21, 2 0 -3
43.5, 2.081, 18, 0 2 0
60.6, 1.527, 12, 2 2 -3
47.7, 1.908, 10, 4 0 1
64.0, 1.454, 8, 2 0 4
66.5, 1.406, 7, 4 2 1
38.2, 2.355, 3, 3 1 0
42.2, 2.142, 2, 4 0 0
41.9, 2.157, 2, 3 1 -2

---

Theoretical XRD peak list of Pd3Ru for a wavelength of 1.5418 Å, from a structure optimized by DFT (PBE).
Neutral-atom scattering factors, no anomalous dispersion.

Crystal structure
Cell lengths 2.747, 4.538, 4.825 Å; angles 90.00, 90.00, 90.00 degrees
Space group Pmm2 (No. 25)
Unique sites:
Pd1 0.000 0.000 0.000 x1
Pd2 0.000 0.500 0.327 x1
Pd3 0.500 0.500 0.818 x1
Ru1 0.500 0.000 0.499 x1

Principal peaks in the range 5° ≤ 2θ ≤ 70°, most intense first:
two_theta, d [Å], I_rel, hkl
42.8, 2.113, 100, 1 1 1
42.4, 2.130, 57, 0 1 2
39.7, 2.269, 43, 0 2 0
37.7, 2.387, 28, 1 0 1
55.9, 1.645, 17, 1 2 1
67.5, 1.388, 17, 1 0 3
37.3, 2.412, 10, 0 0 2
68.3, 1.374, 8, 2 0 0
55.6, 1.653, 6, 0 2 2

---

Theoretical XRD peak list of PdRuS for a wavelength of 1.5418 Å, from a structure optimized by DFT (PBE).
Neutral-atom scattering factors, no anomalous dispersion.

Crystal structure
Cell lengths 3.2463, 3.2463, 10.0751 Å; angles 90.00, 90.00, 120.00 degrees
Space group P-6m2 (No. 187)
Unique sites:
Pd1 0.0000 0.0000 0.1574 x2
Ru1 0.6667 0.3333 0.3672 x2
S1 0.0000 0.0000 0.5000 x1
S2 0.6667 0.3333 0.0000 x1

Principal peaks in the range 5° ≤ 2θ ≤ 70°, most intense first:
two_theta, d [Å], I_rel, hkl
41.9, 2.156, 100, 1 0 3
31.8, 2.811, 44, 1 0 0
33.1, 2.708, 36, 1 0 1
56.7, 1.623, 32, 1 1 0
35.6, 2.519, 15, 0 0 4
68.8, 1.364, 13, 1 1 4
48.5, 1.876, 10, 1 0 4
64.7, 1.442, 8, 1 0 6
54.7, 1.679, 5, 0 0 6
66.5, 1.406, 5, 2 0 0

---

Theoretical XRD peak list of TmSbPdRu for a wavelength of 1.5418 Å, from a structure optimized by DFT (PBE).
Neutral-atom scattering factors, no anomalous dispersion.

Crystal structure
Cell lengths 6.651, 6.651, 6.651 Å; angles 90.00, 90.00, 90.00 degrees
Space group F-43m (No. 216)
Unique sites:
Tm1 0.000 0.000 0.000 x4
Sb1 0.000 0.000 0.500 x4
Pd1 0.250 0.250 0.250 x4
Ru1 0.250 0.250 0.750 x4

Principal peaks in the range 5° ≤ 2θ ≤ 70°, most intense first:
two_theta, d [Å], I_rel, hkl
38.3, 2.352, 100, 2 2 0
69.2, 1.358, 34, 4 2 2
55.2, 1.663, 17, 4 0 0
26.8, 3.326, 3, 2 0 0
23.2, 3.840, 2, 1 1 1
62.4, 1.487, 1, 4 2 0
45.2, 2.005, 1, 3 1 1
47.3, 1.920, 1, 2 2 2
60.7, 1.526, 1, 3 3 1

---

Theoretical XRD peak list of Sc8PdRu2 for a wavelength of 1.5418 Å, from a structure optimized by DFT (PBE).
Neutral-atom scattering factors, no anomalous dispersion.

Crystal structure
Cell lengths 4.784, 14.594, 6.439 Å; angles 90.00, 90.00, 90.00 degrees
Space group Imm2 (No. 44)
Unique sites:
Sc1 0.000 0.000 0.000 x2
Sc2 0.000 0.111 0.428 x4
Sc3 0.000 0.291 0.113 x4
Sc4 0.000 0.341 0.579 x4
Sc5 0.000 0.500 0.202 x2
Pd1 0.000 0.500 0.794 x2
Ru1 0.000 0.169 0.810 x4

Principal peaks in the range 5° ≤ 2θ ≤ 70°, most intense first:
two_theta, d [Å], I_rel, hkl
38.4, 2.341, 100, 1 3 2
37.6, 2.392, 50, 2 0 0
22.9, 3.882, 47, 0 3 1
23.2, 3.840, 35, 1 0 1
44.1, 2.055, 32, 1 6 1
33.9, 2.645, 29, 1 4 1
26.1, 3.411, 25, 1 3 0
37.0, 2.432, 22, 0 6 0
34.1, 2.627, 21, 1 1 2
46.4, 1.958, 18, 1 0 3

---

Theoretical XRD peak list of Sc4PdRu2 for a wavelength of 1.5418 Å, from a structure optimized by DFT (PBE).
Neutral-atom scattering factors, no anomalous dispersion.

Crystal structure
Cell lengths 4.5691, 4.5691, 21.9701 Å; angles 90.00, 90.00, 120.00 degrees
Space group R-3m (No. 166, hexagonal axes)
Unique sites:
Sc1 0.0000 0.0000 0.1195 x6
Sc2 0.0000 0.0000 0.3707 x6
Pd1 0.0000 0.0000 0.5000 x3
Ru1 0.0000 0.0000 0.2474 x6

Principal peaks in the range 5° ≤ 2θ ≤ 70°, most intense first:
two_theta, d [Å], I_rel, hkl
39.4, 2.285, 100, 1 1 0
40.0, 2.256, 93, 0 1 8
57.4, 1.605, 31, 2 0 8
12.1, 7.323, 28, 0 0 3
27.8, 3.211, 19, 1 0 4
22.8, 3.894, 18, 1 0 1
23.9, 3.723, 15, 0 1 2
36.5, 2.459, 13, 1 0 7
30.4, 2.940, 10, 0 1 5
41.4, 2.181, 8, 1 1 3

---

Theoretical XRD peak list of Sm8PdRu2 for a wavelength of 1.5418 Å, from a structure optimized by DFT (PBE).
Neutral-atom scattering factors, no anomalous dispersion.

Crystal structure
Cell lengths 8.457, 12.931, 5.979 Å; angles 90.00, 108.39, 90.00 degrees
Space group C2/m (No. 12)
Unique sites:
Sm1 0.000 0.223 0.000 x4
Sm2 0.130 0.500 0.808 x4
Sm3 0.207 0.130 0.592 x8
Pd1 0.000 0.000 0.000 x2
Ru1 0.000 0.305 0.500 x4

Principal peaks in the range 5° ≤ 2θ ≤ 70°, most intense first:
two_theta, d [Å], I_rel, hkl
31.9, 2.809, 100, 0 4 1
32.9, 2.719, 89, 3 1 -1
30.7, 2.911, 84, 1 1 -2
38.4, 2.342, 76, 1 5 -1
31.1, 2.876, 74, 2 0 1
35.7, 2.517, 68, 2 4 0
30.2, 2.958, 56, 1 3 1
26.2, 3.405, 35, 2 2 0
53.2, 1.721, 33, 2 4 2
39.7, 2.273, 33, 3 3 0

---

Theoretical XRD peak list of Sm8Pd2Ru3 for a wavelength of 1.5418 Å, from a structure optimized by DFT (PBE).
Neutral-atom scattering factors, no anomalous dispersion.

Crystal structure
Cell lengths 9.870, 14.087, 4.930 Å; angles 90.00, 90.00, 90.00 degrees
Space group Cmmm (No. 65)
Unique sites:
Sm1 0.000 0.118 0.000 x4
Sm2 0.000 0.379 0.000 x4
Sm3 0.249 0.381 0.500 x8
Pd1 0.000 0.250 0.500 x4
Ru1 0.000 0.500 0.500 x2
Ru2 0.249 0.500 0.000 x4

Principal peaks in the range 5° ≤ 2θ ≤ 70°, most intense first:
two_theta, d [Å], I_rel, hkl
36.2, 2.478, 100, 2 4 1
36.4, 2.466, 50, 4 0 0
65.4, 1.426, 35, 6 4 1
25.5, 3.488, 19, 2 0 1
52.5, 1.744, 18, 4 0 2
65.1, 1.433, 17, 4 8 0
22.0, 4.040, 13, 2 2 0
25.3, 3.522, 9, 0 4 0
51.9, 1.761, 8, 0 8 0
44.9, 2.020, 8, 4 4 0

---

Theoretical XRD peak list of TbSmPdRu for a wavelength of 1.5418 Å, from a structure optimized by DFT (PBE).
Neutral-atom scattering factors, no anomalous dispersion.

Crystal structure
Cell lengths 3.463, 3.463, 7.139 Å; angles 90.00, 90.00, 90.00 degrees
Space group P4mm (No. 99)
Unique sites:
Tb1 0.000 0.000 0.000 x1
Sm1 0.000 0.000 0.521 x1
Pd1 0.500 0.500 0.250 x1
Ru1 0.500 0.500 0.766 x1

Principal peaks in the range 5° ≤ 2θ ≤ 70°, most intense first:
two_theta, d [Å], I_rel, hkl
36.1, 2.485, 100, 1 0 2
36.7, 2.448, 49, 1 1 0
65.7, 1.421, 34, 2 1 2
64.6, 1.442, 17, 1 1 4
52.9, 1.731, 17, 2 0 0
51.2, 1.785, 9, 0 0 4
25.7, 3.463, 4, 1 0 0
24.9, 3.570, 2, 0 0 2
44.9, 2.019, 2, 1 1 2
46.3, 1.961, 1, 1 0 3

---

Theoretical XRD peak list of ZnSnPdRu for a wavelength of 1.5418 Å, from a structure optimized by DFT (PBE).
Neutral-atom scattering factors, no anomalous dispersion.

Crystal structure
Cell lengths 3.230, 4.376, 4.481 Å; angles 90.00, 90.00, 90.00 degrees
Space group Pmmm (No. 47)
Unique sites:
Zn1 0.000 0.000 0.000 x1
Sn1 0.000 0.500 0.500 x1
Pd1 0.500 0.500 0.000 x1
Ru1 0.500 0.000 0.500 x1

Principal peaks in the range 5° ≤ 2θ ≤ 70°, most intense first:
two_theta, d [Å], I_rel, hkl
40.1, 2.248, 100, 1 1 1
40.3, 2.240, 25, 0 0 2
41.3, 2.188, 23, 0 2 0
59.0, 1.565, 16, 0 2 2
57.0, 1.615, 9, 2 0 0
20.3, 4.376, 2, 0 1 0
19.8, 4.481, 2, 0 0 1
34.2, 2.620, 1, 1 0 1
34.5, 2.599, 1, 1 1 0
54.7, 1.679, 1, 1 2 1

---

Theoretical XRD peak list of Ta2Pd3Ru3 for a wavelength of 1.5418 Å, from a structure optimized by DFT (PBE).
Neutral-atom scattering factors, no anomalous dispersion.

Crystal structure
Cell lengths 3.925, 4.026, 7.663 Å; angles 90.00, 90.00, 90.00 degrees
Space group Pmmm (No. 47)
Unique sites:
Ta1 0.000 0.000 0.244 x2
Pd1 0.000 0.500 0.500 x1
Pd2 0.500 0.500 0.249 x2
Ru1 0.000 0.500 0.000 x1
Ru2 0.500 0.000 0.000 x1
Ru3 0.500 0.000 0.500 x1

Principal peaks in the range 5° ≤ 2θ ≤ 70°, most intense first:
two_theta, d [Å], I_rel, hkl
39.8, 2.266, 100, 1 1 2
45.0, 2.013, 18, 0 2 0
46.3, 1.963, 16, 2 0 0
47.5, 1.916, 15, 0 0 4
66.5, 1.405, 11, 2 2 0
67.5, 1.388, 10, 0 2 4
68.4, 1.371, 10, 2 0 4
23.2, 3.831, 2, 0 0 2
31.8, 2.810, 2, 1 1 0
22.7, 3.925, 2, 1 0 0

---

Theoretical XRD peak list of Tb8Pd2Ru3 for a wavelength of 1.5418 Å, from a structure optimized by DFT (PBE).
Neutral-atom scattering factors, no anomalous dispersion.

Crystal structure
Cell lengths 9.702, 13.857, 4.853 Å; angles 90.00, 90.00, 90.00 degrees
Space group Cmmm (No. 65)
Unique sites:
Tb1 0.000 0.118 0.000 x4
Tb2 0.000 0.380 0.000 x4
Tb3 0.249 0.381 0.500 x8
Pd1 0.000 0.251 0.500 x4
Ru1 0.000 0.500 0.500 x2
Ru2 0.250 0.000 0.000 x4

Principal peaks in the range 5° ≤ 2θ ≤ 70°, most intense first:
two_theta, d [Å], I_rel, hkl
36.9, 2.438, 100, 2 4 1
37.1, 2.426, 50, 4 0 0
66.7, 1.403, 35, 6 4 1
26.0, 3.431, 21, 2 0 1
53.4, 1.716, 17, 4 0 2
66.3, 1.410, 17, 4 8 0
22.4, 3.974, 12, 2 2 0
25.7, 3.464, 10, 0 4 0
45.7, 1.987, 9, 4 4 0
52.9, 1.732, 8, 0 8 0

---

Theoretical XRD peak list of Tb4Pd2Ru for a wavelength of 1.5418 Å, from a structure optimized by DFT (PBE).
Neutral-atom scattering factors, no anomalous dispersion.

Crystal structure
Cell lengths 6.941, 9.948, 4.832 Å; angles 90.00, 90.00, 90.00 degrees
Space group Cmmm (No. 65)
Unique sites:
Tb1 0.246 0.000 0.000 x4
Tb2 0.250 0.250 0.500 x4
Pd1 0.000 0.247 0.000 x4
Ru1 0.000 0.000 0.500 x2

Principal peaks in the range 5° ≤ 2θ ≤ 70°, most intense first:
two_theta, d [Å], I_rel, hkl
36.6, 2.452, 100, 2 2 1
52.8, 1.734, 26, 4 0 0
36.1, 2.487, 26, 0 4 0
37.2, 2.416, 24, 0 0 2
25.7, 3.467, 20, 0 2 1
65.3, 1.429, 18, 2 6 1
66.7, 1.402, 17, 2 2 3
65.6, 1.423, 9, 4 4 0
66.3, 1.409, 9, 4 0 2
15.6, 5.692, 6, 1 1 0

---

Theoretical XRD peak list of Tb6PdRu2 for a wavelength of 1.5418 Å, from a structure optimized by DFT (PBE).
Neutral-atom scattering factors, no anomalous dispersion.

Crystal structure
Cell lengths 9.418, 9.490, 10.107 Å; angles 90.00, 90.00, 90.00 degrees
Space group Immm (No. 71)
Unique sites:
Tb1 0.000 0.191 0.246 x8
Tb2 0.185 0.500 0.170 x8
Tb3 0.226 0.321 0.500 x8
Pd1 0.000 0.000 0.000 x2
Pd2 0.000 0.000 0.500 x2
Ru1 0.000 0.325 0.000 x4
Ru2 0.000 0.500 0.375 x4

Principal peaks in the range 5° ≤ 2θ ≤ 70°, most intense first:
two_theta, d [Å], I_rel, hkl
35.3, 2.539, 100, 2 3 1
32.1, 2.788, 97, 2 2 2
34.8, 2.579, 84, 1 3 2
34.1, 2.633, 55, 2 1 3
40.5, 2.230, 36, 0 2 4
60.0, 1.541, 35, 5 3 2
38.2, 2.354, 34, 4 0 0
30.0, 2.980, 31, 3 1 0
39.2, 2.297, 28, 3 0 3
28.1, 3.175, 21, 0 1 3